No. 1
Calculated PXRD pattern of NaBeSi3O8 for λ = 1.5418 Å (Cu Kα), from a structure optimized by DFT (PBE).
No peak broadening, texture or thermal motion is included.

Structural model:
```
data_NaBeSi3O8
_cell_length_a 12.998
_cell_length_b 8.482
_cell_length_c 13.115
_cell_angle_alpha 90.00
_cell_angle_beta 104.14
_cell_angle_gamma 90.00
_space_group_name_H-M_alt 'C 1 2/c 1'
_space_group_IT_number 15
loop_
_space_group_symop_operation_xyz
'x,y,z'
'-x,-y,-z'
'-x,y,-z+1/2'
'x,-y,z+1/2'
'x+1/2,y+1/2,z'
'-x+1/2,-y+1/2,-z'
'-x+1/2,y+1/2,-z+1/2'
'x+1/2,-y+1/2,z+1/2'
loop_
_atom_site_label
_atom_site_fract_x
_atom_site_fract_y
_atom_site_fract_z
Na1 0.000 0.097 0.250
Na2 0.000 0.382 0.750
Be1 0.065 0.033 0.067
Si1 0.113 0.208 0.883
Si2 0.127 0.427 0.309
Si3 0.240 0.174 0.239
O1 0.000 0.156 0.750
O2 0.000 0.364 0.250
O3 0.040 0.078 0.944
O4 0.108 0.431 0.891
O5 0.134 0.095 0.167
O6 0.168 0.466 0.720
O7 0.197 0.266 0.337
O8 0.199 0.189 0.809
O9 0.205 0.199 0.001
```

Main lines, in order of falling intensity (15 to 90 degrees two-theta):
5.075 Å, rel. 100, hkl 1 1 -2
3.518 Å, rel. 84, hkl 2 2 0
4.013 Å, rel. 68, hkl 2 0 2
5.149 Å, rel. 45, hkl 2 0 -2
5.830 Å, rel. 38, hkl 1 1 1
2.006 Å, rel. 30, hkl 4 0 4
2.911 Å, rel. 28, hkl 2 2 -3
2.210 Å, rel. 25, hkl 2 2 -5
2.575 Å, rel. 24, hkl 4 0 -4
2.389 Å, rel. 22, hkl 4 2 -3

---

No. 2
Calculated PXRD pattern of NaBeSi3O8 for λ = 1.5418 Å (Cu Kα), from a structure optimized by DFT (PBE).
No peak broadening, texture or thermal motion is included.

Structural model:
```
data_NaBeSi3O8
_cell_length_a 12.998
_cell_length_b 6.755
_cell_length_c 15.515
_cell_angle_alpha 90.00
_cell_angle_beta 105.63
_cell_angle_gamma 90.00
_space_group_name_H-M_alt 'C 1 2/c 1'
_space_group_IT_number 15
loop_
_space_group_symop_operation_xyz
'x,y,z'
'-x,-y,-z'
'-x,y,-z+1/2'
'x,-y,z+1/2'
'x+1/2,y+1/2,z'
'-x+1/2,-y+1/2,-z'
'-x+1/2,y+1/2,-z+1/2'
'x+1/2,-y+1/2,z+1/2'
loop_
_atom_site_label
_atom_site_fract_x
_atom_site_fract_y
_atom_site_fract_z
Na1 0.090 0.035 0.109
Be1 0.225 0.421 0.757
Si1 0.015 0.456 0.606
Si2 0.150 0.244 0.343
Si3 0.171 0.165 0.908
O1 0.000 0.500 0.000
O2 0.044 0.362 0.354
O3 0.047 0.237 0.898
O4 0.135 0.438 0.666
O5 0.150 0.111 0.255
O6 0.169 0.076 0.424
O7 0.209 0.244 0.824
O8 0.240 0.413 0.341
O9 0.250 0.250 0.000
```

Main lines, in order of falling intensity (15 to 90 degrees two-theta):
3.735 Å, rel. 100, hkl 0 0 4
2.891 Å, rel. 83, hkl 2 2 -2
3.550 Å, rel. 76, hkl 3 1 0
4.265 Å, rel. 74, hkl 2 0 2
4.083 Å, rel. 55, hkl 1 1 -3
3.211 Å, rel. 46, hkl 4 0 -2
2.647 Å, rel. 31, hkl 2 2 2
2.095 Å, rel. 24, hkl 5 1 2
2.411 Å, rel. 24, hkl 1 1 -6
2.709 Å, rel. 24, hkl 2 2 -3

---

No. 3
Calculated PXRD pattern of NaBeSi3O8 for λ = 1.5418 Å (Cu Kα), from a structure optimized by DFT (PBE).
No peak broadening, texture or thermal motion is included.

Structural model:
```
data_NaBeSi3O8
_cell_length_a 12.724
_cell_length_b 7.428
_cell_length_c 14.208
_cell_angle_alpha 90.00
_cell_angle_beta 103.83
_cell_angle_gamma 90.00
_space_group_name_H-M_alt 'C 1 2/c 1'
_space_group_IT_number 15
loop_
_space_group_symop_operation_xyz
'x,y,z'
'-x,-y,-z'
'-x,y,-z+1/2'
'x,-y,z+1/2'
'x+1/2,y+1/2,z'
'-x+1/2,-y+1/2,-z'
'-x+1/2,y+1/2,-z+1/2'
'x+1/2,-y+1/2,z+1/2'
loop_
_atom_site_label
_atom_site_fract_x
_atom_site_fract_y
_atom_site_fract_z
Na1 0.028 0.158 0.430
Be1 0.169 0.177 0.997
Si1 0.030 0.405 0.861
Si2 0.205 0.480 0.142
Si3 0.248 0.102 0.634
O1 0.000 0.069 0.250
O2 0.000 0.326 0.750
O3 0.053 0.244 0.938
O4 0.073 0.466 0.126
O5 0.128 0.445 0.375
O6 0.155 0.000 0.055
O7 0.237 0.061 0.745
O8 0.240 0.320 0.615
O9 0.240 0.335 0.070
```

Main lines, in order of falling intensity (15 to 90 degrees two-theta):
3.188 Å, rel. 100, hkl 2 2 -1
3.089 Å, rel. 78, hkl 4 0 0
3.449 Å, rel. 76, hkl 0 0 4
3.202 Å, rel. 57, hkl 1 1 -4
3.110 Å, rel. 56, hkl 4 0 -2
3.021 Å, rel. 48, hkl 2 2 1
2.887 Å, rel. 33, hkl 1 1 4
3.714 Å, rel. 32, hkl 0 2 0
1.836 Å, rel. 26, hkl 6 2 -1
1.840 Å, rel. 24, hkl 6 2 -2

---

Which formula does entry 2 have? NaBeSi3O8